1.
Theoretical powder diffraction line list of Ac2InSn3Au6 for a wavelength of 1.5418 Å, from DFT lattice parameters and positions (GGA-PBE).
No peak broadening, texture or thermal motion is included.

Atomic structure:
```
12
Lattice="4.6608 0.0000 0.0000 0.0000 4.6608 0.0000 0.0000 0.0000 16.4071" Properties=species:S:1:pos:R:3 pbc="T T T"
Ac 0.0000 0.0000 3.8290
Ac 0.0000 0.0000 12.5781
In 0.0000 0.0000 8.2036
Sn 2.3304 2.3304 0.0000
Sn 2.3304 2.3304 5.2169
Sn 2.3304 2.3304 11.1903
Au 0.0000 2.3304 6.6381
Au 0.0000 2.3304 9.7690
Au 2.3304 0.0000 6.6381
Au 2.3304 0.0000 9.7690
Au 2.3304 2.3304 2.5745
Au 2.3304 2.3304 13.8326
```

The 10 most intense peaks (10° ≤ 2θ ≤ 90°), in order of rising 2θ:
d_spacing  intensity  (hkl)
3.231  60  1 1 1
3.079  39  1 0 4
3.058  49  1 1 2
2.569  41  1 1 4
2.359  34  1 0 6
2.330  100  2 0 0
2.104  38  1 1 6
2.094  22  1 0 7
1.658  24  2 1 6
1.648  29  2 2 0

2.
Theoretical powder diffraction line list of Th2UCo4As3 for a wavelength of 1.5418 Å, from DFT lattice parameters and positions (GGA-PBE).
No peak broadening, texture or thermal motion is included.

Atomic structure:
```
10
Lattice="4.1527 0.0000 0.0000 0.0000 4.1527 0.0000 0.0000 0.0000 10.1231" Properties=species:S:1:pos:R:3 pbc="T T T"
Th 0.0000 2.0763 2.2869
Th 2.0763 0.0000 7.8362
U 0.0000 0.0000 5.0615
Co 0.0000 0.0000 0.0000
Co 0.0000 2.0763 6.5049
Co 2.0763 0.0000 3.6181
Co 2.0763 2.0763 0.0000
As 0.0000 2.0763 8.8627
As 2.0763 0.0000 1.2603
As 2.0763 2.0763 5.0615
```

The 10 most intense peaks (10° ≤ 2θ ≤ 90°), in order of rising 2θ:
d_spacing  intensity  (hkl)
3.842  28  1 0 1
2.820  13  1 1 1
2.619  48  1 0 3
2.540  100  1 1 2
2.076  48  2 0 0
1.820  16  1 0 5
1.627  23  2 1 3
1.468  16  2 2 0
1.369  12  2 1 5
1.271  28  3 1 2